No. 1
Starting from a GGA-PBE-relaxed structure, the X-ray powder pattern of K3Na8Sn2 was simulated for λ = 1.5418 Å (Cu Kα).
Intensities are scaled so that the largest is 100.

a = 13.690 Å, b = 13.690 Å, c = 13.690 Å
α = 29.17°, β = 29.17°, γ = 29.17°
Fractional coordinates of all 13 atoms:
K 0.000 0.000 0.000
K 0.243 0.243 0.243
K 0.757 0.757 0.757
Na 0.200 0.707 0.707
Na 0.293 0.293 0.800
Na 0.293 0.800 0.293
Na 0.326 0.326 0.326
Na 0.674 0.674 0.674
Na 0.707 0.200 0.707
Na 0.707 0.707 0.200
Na 0.800 0.293 0.293
Sn 0.401 0.401 0.401
Sn 0.599 0.599 0.599

Principal peaks in the range 2θ from 10° to 80°, in order of rising 2θ:
- 6.549 Å, I = 32
- 5.904 Å, I = 88
- 4.755 Å, I = 77
- 3.448 Å, I = 100
- 3.334 Å, I = 48
- 3.066 Å, I = 34
- 3.051 Å, I = 43
- 2.791 Å, I = 73
- 2.376 Å, I = 79
- 1.724 Å, I = 30

No. 2
Starting from a GGA-PBE-relaxed structure, the X-ray powder pattern of KNa12Sn4 was simulated for λ = 1.5418 Å (Cu Kα).
Intensities are scaled so that the largest is 100.

a = 9.828 Å, b = 9.828 Å, c = 9.828 Å
α = 109.47°, β = 109.47°, γ = 109.47°
Fractional coordinates of all 17 atoms:
K 0.000 0.000 0.000
Na 0.137 0.325 0.812
Na 0.188 0.513 0.325
Na 0.188 0.863 0.675
Na 0.325 0.188 0.513
Na 0.325 0.812 0.137
Na 0.487 0.675 0.812
Na 0.513 0.325 0.188
Na 0.675 0.188 0.863
Na 0.675 0.812 0.487
Na 0.812 0.137 0.325
Na 0.812 0.487 0.675
Na 0.863 0.675 0.188
Sn 0.000 0.000 0.500
Sn 0.000 0.500 0.000
Sn 0.500 0.000 0.000
Sn 0.500 0.500 0.500

Principal peaks in the range 2θ from 10° to 80°, in order of rising 2θ:
- 5.674 Å, I = 100
- 4.012 Å, I = 77
- 2.837 Å, I = 30
- 2.538 Å, I = 65
- 2.317 Å, I = 66
- 1.891 Å, I = 21
- 1.794 Å, I = 21
- 1.711 Å, I = 20
- 1.517 Å, I = 24
- 1.337 Å, I = 24

No. 3
Starting from a GGA-PBE-relaxed structure, the X-ray powder pattern of K2NaSn was simulated for λ = 1.5418 Å (Cu Kα).
Intensities are scaled so that the largest is 100.

a = 11.575 Å, b = 6.963 Å, c = 10.250 Å
α = 90.00°, β = 116.12°, γ = 90.00°
Fractional coordinates of all 16 atoms:
K 0.157 0.250 0.079
K 0.157 0.250 0.579
K 0.233 0.726 0.367
K 0.233 0.774 0.867
K 0.767 0.226 0.133
K 0.767 0.274 0.633
K 0.843 0.750 0.421
K 0.843 0.750 0.921
Na 0.500 0.000 0.213
Na 0.500 0.000 0.787
Na 0.500 0.500 0.287
Na 0.500 0.500 0.713
Sn 0.412 0.170 0.456
Sn 0.412 0.330 0.956
Sn 0.588 0.670 0.044
Sn 0.588 0.830 0.544

Principal peaks in the range 2θ from 10° to 80°, in order of rising 2θ:
- 5.785 Å, I = 24
- 5.551 Å, I = 38
- 5.125 Å, I = 36
- 4.597 Å, I = 58
- 3.232 Å, I = 100
- 3.102 Å, I = 51
- 2.977 Å, I = 27
- 2.775 Å, I = 30
- 2.654 Å, I = 55
- 2.563 Å, I = 31

No. 4
Starting from a GGA-PBE-relaxed structure, the X-ray powder pattern of K2Na5Sn was simulated for λ = 1.5418 Å (Cu Kα).
Intensities are scaled so that the largest is 100.

a = 11.900 Å, b = 7.022 Å, c = 8.925 Å
α = 90.00°, β = 117.51°, γ = 90.00°
Fractional coordinates of all 16 atoms:
K 0.000 0.000 0.000
K 0.084 0.500 0.827
K 0.500 0.500 0.000
K 0.584 0.000 0.827
Na 0.001 0.000 0.588
Na 0.227 0.244 0.533
Na 0.227 0.756 0.533
Na 0.354 0.228 0.227
Na 0.354 0.772 0.227
Na 0.501 0.500 0.588
Na 0.727 0.256 0.533
Na 0.727 0.744 0.533
Na 0.854 0.272 0.227
Na 0.854 0.728 0.227
Sn 0.283 0.000 0.879
Sn 0.783 0.500 0.879

Principal peaks in the range 2θ from 10° to 80°, in order of rising 2θ:
- 7.916 Å, I = 100
- 5.847 Å, I = 66
- 3.453 Å, I = 60
- 3.210 Å, I = 85
- 3.185 Å, I = 54
- 3.146 Å, I = 55
- 2.946 Å, I = 72
- 2.705 Å, I = 52
- 2.638 Å, I = 44
- 2.625 Å, I = 59